No. 1
SrNiF6: calculated powder X-ray diffraction pattern (λ = 1.5418 Å (Cu Kα)), based on a DFT-relaxed cell (PBE+U, Alexandria).
Peak positions follow from Bragg's law for the DFT cell and can differ from measured ones.

Peak list (6 most intense, 10° ≤ 2θ ≤ 90°, by angle)
d 3.615, intensity 100; d 2.956, intensity 49; d 2.233, intensity 27; d 1.934, intensity 71; d 1.808, intensity 16; d 1.368, intensity 32

Structural model:
```
data_SrNiF6
_chemical_formula_sum 'Sr3 Ni3 F18'
_cell_length_a 7.2306
_cell_length_b 7.2306
_cell_length_c 6.7066
_cell_angle_alpha 90.00
_cell_angle_beta 90.00
_cell_angle_gamma 120.00
_symmetry_space_group_name_H-M 'R -3 m'
_symmetry_Int_Tables_number 166
_symmetry_space_group_name_Hall '-R 3 2"'
loop_
_atom_site_label
_atom_site_type_symbol
_atom_site_fract_x
_atom_site_fract_y
_atom_site_fract_z
_atom_site_occupancy
Sr1 Sr 0.0000 0.0000 0.0000 1
Ni1 Ni 0.0000 0.0000 0.5000 1
F1 F 0.1045 0.5522 0.3290 1
```

No. 2
Sr2Ni3F10: calculated powder X-ray diffraction pattern (λ = 1.5418 Å (Cu Kα)), based on a DFT-relaxed cell (PBE+U, Alexandria).
Peak positions follow from Bragg's law for the DFT cell and can differ from measured ones.

Peak list (6 most intense, 10° ≤ 2θ ≤ 90°, by angle)
d 3.214, intensity 100; d 3.176, intensity 53; d 3.113, intensity 87; d 3.037, intensity 91; d 2.277, intensity 47; d 2.120, intensity 92

Structural model:
```
data_Sr2Ni3F10
_chemical_formula_sum 'Sr8 Ni12 F40'
_cell_length_a 18.242
_cell_length_b 5.924
_cell_length_c 7.618
_cell_angle_alpha 90.00
_cell_angle_beta 110.86
_cell_angle_gamma 90.00
_symmetry_space_group_name_H-M 'C 1 2/m 1'
_symmetry_Int_Tables_number 12
_symmetry_space_group_name_Hall '-C 2y'
loop_
_atom_site_label
_atom_site_type_symbol
_atom_site_fract_x
_atom_site_fract_y
_atom_site_fract_z
_atom_site_occupancy
Sr1 Sr 0.114 0.000 0.213 1
Sr2 Sr 0.219 0.000 0.823 1
Ni1 Ni 0.000 0.242 0.500 1
Ni2 Ni 0.075 0.500 0.960 1
Ni3 Ni 0.178 0.500 0.526 1
F1 F 0.000 0.263 0.000 1
F2 F 0.010 0.000 0.691 1
F3 F 0.017 0.500 0.684 1
F4 F 0.116 0.230 0.543 1
F5 F 0.135 0.500 0.244 1
F6 F 0.152 0.255 0.974 1
F7 F 0.242 0.500 0.795 1
F8 F 0.250 0.250 0.500 1
```

No. 3
TlNi2F6: calculated powder X-ray diffraction pattern (λ = 1.5418 Å (Cu Kα)), based on a DFT-relaxed cell (PBE+U, Alexandria).
Peak positions follow from Bragg's law for the DFT cell and can differ from measured ones.

Peak list (6 most intense, 10° ≤ 2θ ≤ 90°, by angle)
d 4.472, intensity 42; d 3.543, intensity 100; d 2.759, intensity 75; d 2.505, intensity 19; d 1.855, intensity 68; d 1.491, intensity 21

Structural model:
```
data_TlNi2F6
_chemical_formula_sum 'Tl2 Ni4 F12'
_cell_length_a 5.010
_cell_length_b 5.010
_cell_length_c 9.917
_cell_angle_alpha 90.00
_cell_angle_beta 90.00
_cell_angle_gamma 90.00
_symmetry_space_group_name_H-M 'P 42/m n m'
_symmetry_Int_Tables_number 136
_symmetry_space_group_name_Hall '-P 4n 2n'
loop_
_atom_site_label
_atom_site_type_symbol
_atom_site_fract_x
_atom_site_fract_y
_atom_site_fract_z
_atom_site_occupancy
Tl1 Tl 0.000 0.000 0.000 1
Ni1 Ni 0.000 0.000 0.332 1
F1 F 0.170 0.170 0.500 1
F2 F 0.212 0.212 0.189 1
```

No. 4
Tl3Ni2F7: calculated powder X-ray diffraction pattern (λ = 1.5418 Å (Cu Kα)), based on a DFT-relaxed cell (PBE+U, Alexandria).
Peak positions follow from Bragg's law for the DFT cell and can differ from measured ones.

Peak list (6 most intense, 10° ≤ 2θ ≤ 90°, by angle)
d 4.094, intensity 43; d 3.074, intensity 100; d 2.883, intensity 94; d 2.802, intensity 74; d 2.458, intensity 85; d 1.700, intensity 48

Structural model:
```
data_Tl3Ni2F7
_chemical_formula_sum 'Tl6 Ni4 F14'
_cell_length_a 4.124
_cell_length_b 23.060
_cell_length_c 4.094
_cell_angle_alpha 90.00
_cell_angle_beta 90.00
_cell_angle_gamma 90.00
_symmetry_space_group_name_H-M 'C m m m'
_symmetry_Int_Tables_number 65
_symmetry_space_group_name_Hall '-C 2 2'
loop_
_atom_site_label
_atom_site_type_symbol
_atom_site_fract_x
_atom_site_fract_y
_atom_site_fract_z
_atom_site_occupancy
Tl1 Tl 0.000 0.000 0.000 1
Tl2 Tl 0.000 0.183 0.000 1
Ni1 Ni 0.000 0.409 0.500 1
F1 F 0.000 0.092 0.500 1
F2 F 0.000 0.323 0.500 1
F3 F 0.000 0.408 0.000 1
F4 F 0.000 0.500 0.500 1
```

No. 5
Tl3Zn2NiF9: calculated powder X-ray diffraction pattern (λ = 1.5418 Å (Cu Kα)), based on a DFT-relaxed cell (PBE+U, Alexandria).
Peak positions follow from Bragg's law for the DFT cell and can differ from measured ones.

Peak list (6 most intense, 10° ≤ 2θ ≤ 90°, by angle)
d 4.181, intensity 22; d 2.956, intensity 100; d 2.414, intensity 22; d 2.090, intensity 32; d 1.707, intensity 41; d 1.117, intensity 22

Structural model:
```
data_Tl3Zn2NiF9
_chemical_formula_sum 'Tl3 Zn2 Ni1 F9'
_cell_length_a 5.9126
_cell_length_b 5.9126
_cell_length_c 7.2411
_cell_angle_alpha 90.00
_cell_angle_beta 90.00
_cell_angle_gamma 120.00
_symmetry_space_group_name_H-M 'P -3 m 1'
_symmetry_Int_Tables_number 164
_symmetry_space_group_name_Hall '-P 3 2"'
loop_
_atom_site_label
_atom_site_type_symbol
_atom_site_fract_x
_atom_site_fract_y
_atom_site_fract_z
_atom_site_occupancy
Tl1 Tl 0.0000 0.0000 0.0000 1
Tl2 Tl 0.3333 0.6667 0.6666 1
Zn1 Zn 0.3333 0.6667 0.1684 1
Ni1 Ni 0.0000 0.0000 0.5000 1
F1 F 0.0000 0.5000 0.0000 1
F2 F 0.1654 0.3308 0.3352 1
```

No. 6
TmNiF5: calculated powder X-ray diffraction pattern (λ = 1.5418 Å (Cu Kα)), based on a DFT-relaxed cell (PBE+U, Alexandria).
Peak positions follow from Bragg's law for the DFT cell and can differ from measured ones.

Peak list (6 most intense, 10° ≤ 2θ ≤ 90°, by angle)
d 5.107, intensity 42; d 4.061, intensity 100; d 3.284, intensity 40; d 3.245, intensity 97; d 2.030, intensity 25; d 1.726, intensity 27

Structural model:
```
data_TmNiF5
_chemical_formula_sum 'Tm4 Ni4 F20'
_cell_length_a 8.920
_cell_length_b 6.568
_cell_length_c 7.464
_cell_angle_alpha 90.00
_cell_angle_beta 114.42
_cell_angle_gamma 90.00
_symmetry_space_group_name_H-M 'C 1 2/c 1'
_symmetry_Int_Tables_number 15
_symmetry_space_group_name_Hall '-C 2yc'
loop_
_atom_site_label
_atom_site_type_symbol
_atom_site_fract_x
_atom_site_fract_y
_atom_site_fract_z
_atom_site_occupancy
Tm1 Tm 0.000 0.053 0.250 1
Ni1 Ni 0.000 0.500 0.000 1
F1 F 0.000 0.390 0.250 1
F2 F 0.010 0.187 0.964 1
F3 F 0.242 0.473 0.626 1
```

No. 7
Ni2WF: calculated powder X-ray diffraction pattern (λ = 1.5418 Å (Cu Kα)), based on a DFT-relaxed cell (PBE+U, Alexandria).
Peak positions follow from Bragg's law for the DFT cell and can differ from measured ones.

Peak list (6 most intense, 10° ≤ 2θ ≤ 90°, by angle)
d 3.784, intensity 73; d 2.471, intensity 76; d 2.306, intensity 100; d 2.075, intensity 79; d 1.631, intensity 32; d 1.543, intensity 58

Structural model:
```
data_Ni2WF
_chemical_formula_sum 'Ni8 W4 F4'
_cell_length_a 6.524
_cell_length_b 6.524
_cell_length_c 4.646
_cell_angle_alpha 90.00
_cell_angle_beta 90.00
_cell_angle_gamma 90.00
_symmetry_space_group_name_H-M 'I -4 2 d'
_symmetry_Int_Tables_number 122
_symmetry_space_group_name_Hall 'I -4 2bw'
loop_
_atom_site_label
_atom_site_type_symbol
_atom_site_fract_x
_atom_site_fract_y
_atom_site_fract_z
_atom_site_occupancy
Ni1 Ni 0.222 0.750 0.125 1
W1 W 0.000 0.000 0.500 1
F1 F 0.000 0.000 0.000 1
```

No. 8
ZnNi2F6: calculated powder X-ray diffraction pattern (λ = 1.5418 Å (Cu Kα)), based on a DFT-relaxed cell (PBE+U, Alexandria).
Peak positions follow from Bragg's law for the DFT cell and can differ from measured ones.

Peak list (6 most intense, 10° ≤ 2θ ≤ 90°, by angle)
d 3.347, intensity 100; d 2.614, intensity 58; d 2.288, intensity 16; d 1.755, intensity 67; d 1.674, intensity 19; d 1.410, intensity 24

Structural model:
```
data_ZnNi2F6
_chemical_formula_sum 'Zn2 Ni4 F12'
_cell_length_a 4.734
_cell_length_b 4.734
_cell_length_c 9.406
_cell_angle_alpha 90.00
_cell_angle_beta 90.00
_cell_angle_gamma 90.00
_symmetry_space_group_name_H-M 'P 42/m n m'
_symmetry_Int_Tables_number 136
_symmetry_space_group_name_Hall '-P 4n 2n'
loop_
_atom_site_label
_atom_site_type_symbol
_atom_site_fract_x
_atom_site_fract_y
_atom_site_fract_z
_atom_site_occupancy
Zn1 Zn 0.000 0.000 0.000 1
Ni1 Ni 0.000 0.000 0.333 1
F1 F 0.194 0.194 0.500 1
F2 F 0.197 0.197 0.169 1
```